(1)
This entry pairs a crystal structure of La2TlCuO5 with its calculated powder XRD pattern. Radiation: Cu Kα. Structure: the GGA-PBE geometry in Alexandria.

Structural model:
```
data_La2TlCuO5
_chemical_formula_sum 'La4 Tl2 Cu2 O10'
_symmetry_space_group_name_H-M 'P 1'
_symmetry_Int_Tables_number 1
_cell_length_a 6.974
_cell_length_b 6.974
_cell_length_c 5.723
_cell_angle_alpha 90.00
_cell_angle_beta 90.00
_cell_angle_gamma 90.00
loop_
_symmetry_equiv_pos_as_xyz
'x,y,z'
loop_
_atom_site_label
_atom_site_fract_x
_atom_site_fract_y
_atom_site_fract_z
La1 0.182 0.318 0.000
La2 0.318 0.818 0.000
La3 0.682 0.182 0.000
La4 0.818 0.682 0.000
Tl1 0.000 0.000 0.500
Tl2 0.500 0.500 0.500
Cu1 0.000 0.500 0.500
Cu2 0.500 0.000 0.500
O1 0.000 0.000 0.000
O2 0.126 0.626 0.258
O3 0.126 0.626 0.742
O4 0.374 0.126 0.258
O5 0.374 0.126 0.742
O6 0.500 0.500 0.000
O7 0.626 0.874 0.258
O8 0.626 0.874 0.742
O9 0.874 0.374 0.258
O10 0.874 0.374 0.742
```

Top 10 peaks for 15° ≤ 2θ ≤ 90°, sorted by position:
- 23.82°, d 3.736, intensity 23
- 30.01°, d 2.978, intensity 100
- 31.26°, d 2.862, intensity 29
- 32.70°, d 2.739, intensity 31
- 36.44°, d 2.466, intensity 26
- 40.92°, d 2.205, intensity 19
- 42.89°, d 2.109, intensity 22
- 48.75°, d 1.868, intensity 23
- 52.38°, d 1.747, intensity 12
- 54.86°, d 1.674, intensity 19

---

(2)
This entry pairs a crystal structure of La8CuOs2 with its calculated powder XRD pattern. Radiation: Cu Kα. Structure: the GGA-PBE geometry in Alexandria.

Structural model:
```
data_La8CuOs2
_chemical_formula_sum 'La8 Cu1 Os2'
_symmetry_space_group_name_H-M 'P 1'
_symmetry_Int_Tables_number 1
_cell_length_a 7.842
_cell_length_b 7.842
_cell_length_c 6.514
_cell_angle_alpha 100.41
_cell_angle_beta 100.41
_cell_angle_gamma 114.83
loop_
_symmetry_equiv_pos_as_xyz
'x,y,z'
loop_
_atom_site_label
_atom_site_fract_x
_atom_site_fract_y
_atom_site_fract_z
La1 0.000 0.000 0.000
La2 0.005 0.275 0.589
La3 0.137 0.561 0.207
La4 0.275 0.005 0.589
La5 0.441 0.711 0.812
La6 0.561 0.137 0.207
La7 0.711 0.441 0.812
La8 0.715 0.715 0.406
Cu1 0.360 0.360 0.400
Os1 0.050 0.670 0.700
Os2 0.670 0.050 0.700
```

Top 10 peaks for 15° ≤ 2θ ≤ 90°, sorted by position:
- 28.26°, d 3.158, intensity 29
- 29.30°, d 3.048, intensity 100
- 30.74°, d 2.909, intensity 40
- 32.17°, d 2.783, intensity 55
- 32.69°, d 2.740, intensity 47
- 33.20°, d 2.698, intensity 36
- 35.33°, d 2.540, intensity 43
- 37.26°, d 2.413, intensity 74
- 38.08°, d 2.363, intensity 29
- 50.75°, d 1.799, intensity 36

---

(3)
This entry pairs a crystal structure of LaCuP with its calculated powder XRD pattern. Radiation: Cu Kα. Structure: the GGA-PBE geometry in Alexandria.

Structural model:
```
data_LaCuP
_chemical_formula_sum 'La1 Cu1 P1'
_symmetry_space_group_name_H-M 'P 1'
_symmetry_Int_Tables_number 1
_cell_length_a 4.057
_cell_length_b 4.057
_cell_length_c 4.250
_cell_angle_alpha 90.00
_cell_angle_beta 90.00
_cell_angle_gamma 120.00
loop_
_symmetry_equiv_pos_as_xyz
'x,y,z'
loop_
_atom_site_label
_atom_site_fract_x
_atom_site_fract_y
_atom_site_fract_z
La1 0.000 0.000 0.000
Cu1 0.333 0.667 0.500
P1 0.667 0.333 0.500
```

Top 10 peaks for 15° ≤ 2θ ≤ 90°, sorted by position:
- 25.35°, d 3.513, intensity 23
- 33.08°, d 2.708, intensity 100
- 42.55°, d 2.125, intensity 13
- 44.68°, d 2.028, intensity 33
- 50.18°, d 1.818, intensity 8
- 56.71°, d 1.623, intensity 21
- 63.40°, d 1.467, intensity 23
- 71.86°, d 1.314, intensity 10
- 74.93°, d 1.267, intensity 18
- 88.72°, d 1.103, intensity 6